Diffraction record for In3Sn3Bi. The X-ray powder pattern is computed, not measured: it uses a PBE-relaxed structure and λ = 1.5418 Å (Cu Kα).

The 10 most intense peaks (2θ = 15–90°), sorted by position:
Position (°2θ), intensity
29.71, 92
29.85, 78
30.56, 100
31.48, 98
32.22, 93
33.62, 79
35.25, 50
35.96, 50
38.24, 66
39.23, 27

Cell and atoms:
Unit cell a=6.1200 b=8.4028 c=8.7807 alpha=113.07 beta=92.48 gamma=98.12
Fractional positions:
1 In 0.0912 0.4577 0.3120
2 In 0.2220 0.0369 0.9416
3 In 0.2819 0.8378 0.1887
4 In 0.7181 0.1622 0.8113
5 In 0.7780 0.9631 0.0584
6 In 0.9088 0.5423 0.6880
7 Sn 0.1888 0.8626 0.5622
8 Sn 0.2381 0.4172 0.9424
9 Sn 0.4441 0.6748 0.7707
10 Sn 0.5559 0.3252 0.2293
11 Sn 0.7619 0.5828 0.0576
12 Sn 0.8112 0.1374 0.4378
13 Bi 0.3346 0.2436 0.5417
14 Bi 0.6654 0.7564 0.4582